Entry 1:
# CsSrB3H12
Theoretical powder diffractogram, Cu Kα, 1.54184 Å. Input: the PBE geometry in the Materials Project.
Peak positions follow from Bragg's law for the DFT cell and can differ from measured ones.

Structural model:
Lattice parameters (Å, degrees): 8.378 8.408 6.212 90.00 90.00 90.00
Space group P2_12_12 (No. 18)
One atom of each set of equivalent atoms:
1 Cs 0.000 0.000 0.011 x2
2 Sr 0.000 0.500 0.515 x2
3 B 0.000 0.500 0.016 x2
4 B 0.202 0.197 0.509 x4
5 H 0.061 0.396 0.905 x4
6 H 0.105 0.562 0.126 x4
7 H 0.126 0.232 0.348 x4
8 H 0.149 0.263 0.668 x4
9 H 0.159 0.745 0.512 x4
10 H 0.195 0.053 0.539 x4

Largest 12 diffraction maxima, in order of rising 2θ, 2θ from 10° to 90°:
h k l, d [Å], two_theta, I/Imax
1 1 1, 4.291, 20.70, 100
2 0 0, 4.196, 21.17, 52
2 0 1, 3.477, 25.62, 8
0 0 2, 3.106, 28.74, 17
2 2 0, 2.967, 30.12, 28
0 2 2, 2.497, 35.97, 27
3 1 1, 2.441, 36.83, 52
2 2 2, 2.146, 42.12, 21
1 1 3, 1.955, 46.45, 12
3 3 1, 1.885, 48.28, 11
3 1 3, 1.633, 56.36, 14
4 2 2, 1.606, 57.36, 15

=====

Entry 2:
# Cs2HgB9Se9
Theoretical powder diffractogram, Cu Kα, 1.54184 Å. Input: the PBE geometry in the Materials Project.
Peak positions follow from Bragg's law for the DFT cell and can differ from measured ones.

Structural model:
Lattice parameters (Å, degrees): 10.113 10.950 11.271 100.09 90.48 116.07
Space group P-1 (No. 2)
One atom of each set of equivalent atoms:
1 Cs 0.177 0.346 0.015 x2
2 Cs 0.205 0.827 0.498 x2
3 Hg 0.328 0.325 0.575 x2
4 B 0.254 0.092 0.280 x2
5 B 0.257 0.590 0.788 x2
6 B 0.340 0.007 0.038 x2
7 B 0.340 0.880 0.914 x2
8 B 0.382 0.872 0.066 x2
9 B 0.422 0.060 0.904 x2
10 B 0.435 0.720 0.242 x2
11 B 0.486 0.044 0.149 x2
12 B 0.487 0.840 0.950 x2
13 Se 0.136 0.135 0.400 x2
14 Se 0.140 0.407 0.688 x2
15 Se 0.165 0.025 0.110 x2
16 Se 0.167 0.720 0.808 x2
17 Se 0.263 0.721 0.157 x2
18 Se 0.362 0.151 0.786 x2
19 Se 0.396 0.593 0.353 x2
20 Se 0.448 0.100 0.320 x2
21 Se 0.449 0.644 0.877 x2

Largest 12 diffraction maxima, in order of rising 2θ, 2θ from 10° to 90°:
h k l, d [Å], two_theta, I/Imax
-2 1 1, 4.601, 19.29, 57
2 0 0, 4.526, 19.61, 58
0 2 -2, 4.053, 21.93, 100
-1 2 2, 3.567, 24.96, 73
1 2 -2, 3.338, 26.71, 68
-2 2 2, 3.318, 26.87, 59
2 1 1, 3.227, 27.64, 91
2 -1 3, 2.969, 30.10, 61
1 1 3, 2.839, 31.52, 61
-3 3 1, 2.794, 32.03, 49
2 -3 3, 2.714, 33.01, 52
-4 1 1, 2.429, 37.01, 59